YHoNO: theoretical powder diffractogram (Cu Ka), based on a structure optimized by DFT (PBE).
Neutral-atom scattering factors, no anomalous dispersion.

Atomic structure:
a b c (Å): 4.854 3.957 6.851
angles (deg): 90.00 90.00 90.00
Atoms (fractional coordinates):
Y: 0.250 0.000 0.165
Y: 0.750 0.000 0.835
Ho: 0.250 0.500 0.668
Ho: 0.750 0.500 0.332
N: 0.250 0.500 0.339
N: 0.750 0.500 0.661
O: 0.250 0.000 0.822
O: 0.750 0.000 0.178

The 8 most intense peaks (10 to 90 degrees two-theta), by intensity:
d/Å	intensity
2.799	100
1.979	58
3.426	47
1.533	33
2.427	24
1.616	20
1.251	18
1.463	15

HoTmCu2Si2: theoretical powder diffractogram (Cu Ka), based on a structure optimized by DFT (PBE).
Neutral-atom scattering factors, no anomalous dispersion.

Atomic structure:
a b c (Å): 4.117 4.117 7.398
angles (deg): 90.00 90.00 120.00
Atoms (fractional coordinates):
Ho: 0.000 0.000 0.000
Tm: 0.000 0.000 0.500
Cu: 0.333 0.667 0.252
Cu: 0.667 0.333 0.748
Si: 0.333 0.667 0.748
Si: 0.667 0.333 0.252

The 8 most intense peaks (10 to 90 degrees two-theta), by intensity:
d/Å	intensity
2.567	100
2.058	39
3.565	34
1.606	24
1.266	21
1.376	21
1.850	9
1.165	8

Sm3Sn7: theoretical powder diffractogram (Cu Ka), based on a structure optimized by DFT (PBE).
Neutral-atom scattering factors, no anomalous dispersion.

Atomic structure:
a b c (Å): 13.159 13.159 4.609
angles (deg): 90.00 90.00 160.11
Atoms (fractional coordinates):
Sm: 0.000 0.000 0.000
Sm: 0.186 0.814 0.000
Sm: 0.814 0.186 0.000
Sn: 0.096 0.904 0.500
Sn: 0.290 0.710 0.500
Sn: 0.405 0.595 0.000
Sn: 0.500 0.500 0.500
Sn: 0.595 0.405 0.000
Sn: 0.710 0.290 0.500
Sn: 0.904 0.096 0.500

The 8 most intense peaks (10 to 90 degrees two-theta), by intensity:
d/Å	intensity
2.745	100
2.592	17
2.305	17
2.273	16
1.401	13
1.387	13
1.618	11
1.722	10

Please write out number 1 again, unchanged.
YHoNO: theoretical powder diffractogram (Cu Ka), based on a structure optimized by DFT (PBE).
Neutral-atom scattering factors, no anomalous dispersion.

Atomic structure:
a b c (Å): 4.854 3.957 6.851
angles (deg): 90.00 90.00 90.00
Atoms (fractional coordinates):
Y: 0.250 0.000 0.165
Y: 0.750 0.000 0.835
Ho: 0.250 0.500 0.668
Ho: 0.750 0.500 0.332
N: 0.250 0.500 0.339
N: 0.750 0.500 0.661
O: 0.250 0.000 0.822
O: 0.750 0.000 0.178

The 8 most intense peaks (10 to 90 degrees two-theta), by intensity:
d/Å	intensity
2.799	100
1.979	58
3.426	47
1.533	33
2.427	24
1.616	20
1.251	18
1.463	15

What did the third record say?
Sm3Sn7: theoretical powder diffractogram (Cu Ka), based on a structure optimized by DFT (PBE).
Neutral-atom scattering factors, no anomalous dispersion.

Atomic structure:
a b c (Å): 13.159 13.159 4.609
angles (deg): 90.00 90.00 160.11
Atoms (fractional coordinates):
Sm: 0.000 0.000 0.000
Sm: 0.186 0.814 0.000
Sm: 0.814 0.186 0.000
Sn: 0.096 0.904 0.500
Sn: 0.290 0.710 0.500
Sn: 0.405 0.595 0.000
Sn: 0.500 0.500 0.500
Sn: 0.595 0.405 0.000
Sn: 0.710 0.290 0.500
Sn: 0.904 0.096 0.500

The 8 most intense peaks (10 to 90 degrees two-theta), by intensity:
d/Å	intensity
2.745	100
2.592	17
2.305	17
2.273	16
1.401	13
1.387	13
1.618	11
1.722	10